(1)
Simulated PXRD pattern
Compound: PmCu6Pd6
Radiation: a wavelength of 1.5418 Å
Structure: a structure optimized by DFT (PBE)

Main lines, in order of rising 2θ (10 to 90 degrees two-theta):
| Position (°2θ) | d/Å | Rel. int. |
| --- | --- | --- |
| 35.2 | 2.552 | 20.7 |
| 35.8 | 2.507 | 78.0 |
| 40.6 | 2.224 | 30.5 |
| 41.0 | 2.201 | 39.5 |
| 41.3 | 2.184 | 100.0 |
| 41.6 | 2.171 | 42.2 |
| 45.8 | 1.980 | 25.8 |
| 46.5 | 1.951 | 53.7 |
| 74.3 | 1.276 | 33.5 |
| 75.9 | 1.254 | 25.6 |

Atomic structure:
Unit cell a=6.7034 b=6.7034 c=6.7034 alpha=136.08 beta=99.22 gamma=96.86
Element x y z (fractional)
Pm 0.0000 0.0000 0.0000
Cu 0.0000 0.0000 0.5000
Cu 0.0000 0.5000 0.0000
Cu 0.2365 0.7365 0.5000
Cu 0.5000 0.0000 0.0000
Cu 0.5000 0.5000 0.5000
Cu 0.7635 0.2635 0.5000
Pd 0.1941 0.5000 0.6941
Pd 0.3441 0.0000 0.3441
Pd 0.3475 0.3475 0.0000
Pd 0.6525 0.6525 0.0000
Pd 0.6559 0.0000 0.6559
Pd 0.8059 0.5000 0.3059

---

(2)
Simulated PXRD pattern
Compound: Ce3Sn6Rh5
Radiation: a wavelength of 1.5418 Å
Structure: a structure optimized by DFT (PBE)

Main lines, in order of rising 2θ (10 to 90 degrees two-theta):
| Position (°2θ) | d/Å | Rel. int. |
| --- | --- | --- |
| 32.0 | 2.797 | 24.0 |
| 33.6 | 2.670 | 100.0 |
| 33.9 | 2.646 | 27.9 |
| 34.1 | 2.629 | 41.2 |
| 34.3 | 2.615 | 29.9 |
| 36.6 | 2.454 | 36.1 |
| 38.6 | 2.331 | 21.2 |
| 39.6 | 2.277 | 47.1 |
| 40.3 | 2.236 | 61.4 |
| 57.8 | 1.595 | 18.0 |

Atomic structure:
Unit cell a=4.4714 b=13.6608 c=9.7528 alpha=90.00 beta=90.00 gamma=90.00
Element x y z (fractional)
Ce 0.2500 0.0455 0.2479
Ce 0.2500 0.4545 0.2479
Ce 0.2500 0.7500 0.2712
Ce 0.7500 0.2500 0.7288
Ce 0.7500 0.5455 0.7521
Ce 0.7500 0.9545 0.7521
Sn 0.2500 0.0718 0.5909
Sn 0.2500 0.2500 0.0329
Sn 0.2500 0.2500 0.3942
Sn 0.2500 0.4282 0.5909
Sn 0.2500 0.5938 0.9792
Sn 0.2500 0.9062 0.9792
Sn 0.7500 0.0938 0.0208
Sn 0.7500 0.4062 0.0208
Sn 0.7500 0.5718 0.4091
Sn 0.7500 0.7500 0.6058
Sn 0.7500 0.7500 0.9671
Sn 0.7500 0.9282 0.4091
Rh 0.2500 0.0931 0.8635
Rh 0.2500 0.4069 0.8635
Rh 0.2500 0.6372 0.5418
Rh 0.2500 0.7500 0.7964
Rh 0.2500 0.8628 0.5418
Rh 0.7500 0.1372 0.4582
Rh 0.7500 0.2500 0.2036
Rh 0.7500 0.3628 0.4582
Rh 0.7500 0.5931 0.1365
Rh 0.7500 0.9069 0.1365

---

(3)
Simulated PXRD pattern
Compound: Nd3PtAu2
Radiation: a wavelength of 1.5418 Å
Structure: a structure optimized by DFT (PBE)

Main lines, in order of rising 2θ (10 to 90 degrees two-theta):
| Position (°2θ) | d/Å | Rel. int. |
| --- | --- | --- |
| 34.4 | 2.606 | 100.0 |
| 34.6 | 2.591 | 20.0 |
| 49.3 | 1.848 | 7.3 |
| 49.6 | 1.838 | 14.2 |
| 61.5 | 1.508 | 7.3 |
| 61.6 | 1.505 | 21.7 |
| 61.9 | 1.499 | 14.9 |
| 72.5 | 1.303 | 11.2 |
| 82.6 | 1.168 | 6.5 |
| 83.0 | 1.163 | 6.3 |

Atomic structure:
Unit cell a=8.2386 b=8.2386 c=7.3932 alpha=90.00 beta=90.00 gamma=143.34
Element x y z (fractional)
Nd 0.0000 0.0000 0.2466
Nd 0.0000 0.0000 0.7534
Nd 0.3300 0.6700 0.2398
Nd 0.3300 0.6700 0.7602
Nd 0.6700 0.3300 0.2398
Nd 0.6700 0.3300 0.7602
Pt 0.1571 0.8429 0.0000
Pt 0.8429 0.1571 0.0000
Au 0.1680 0.8320 0.5000
Au 0.5000 0.5000 0.0000
Au 0.5000 0.5000 0.5000
Au 0.8320 0.1680 0.5000